1.
# Mo2P4O15
Calculated X-ray diffraction stick pattern, Cu Kα X-rays. Input: a crystal structure in Alexandria, relaxed with GGA+U.
Kinematic intensities with the Lorentz-polarization factor, no thermal factor.

Main lines, low angle first (10 to 80 degrees two-theta):
hkl  d_spacing  I_rel
1 1 0  5.215  39
0 1 2  4.196  100
1 1 -2  4.104  13
2 0 0  4.072  20
2 0 -2  3.768  12
2 1 -1  3.574  17
2 1 0  3.492  14
1 2 2  2.587  17
3 1 -2  2.540  10
3 1 0  2.521  9

Cell and atoms:
Cell: 8.461 6.791 11.092 Å, 90.00 105.75 90.00°
Space group P2_1/c (No. 14)
Symmetry-distinct sites (fractional):
Mo 0.202 0.241 0.157
P 0.182 0.554 0.399
P 0.417 0.624 0.879
O 0.026 0.664 0.327
O 0.155 0.064 0.558
O 0.174 0.026 0.025
O 0.240 0.097 0.819
O 0.297 0.000 0.286
O 0.325 0.716 0.440
O 0.453 0.227 0.669
O 0.500 0.000 0.500



2.
# PmMoPO6
Calculated X-ray diffraction stick pattern, Cu Kα X-rays. Input: a crystal structure in Alexandria, relaxed with GGA+U.
Kinematic intensities with the Lorentz-polarization factor, no thermal factor.

Main lines, low angle first (10 to 80 degrees two-theta):
hkl  d_spacing  I_rel
1 0 0  4.498  14
1 0 1  3.169  100
1 1 0  2.597  35
1 1 1  2.247  17
2 0 1  2.008  28
1 0 2  2.000  9
1 1 2  1.693  34
3 -1 1  1.589  27
3 0 0  1.499  12
3 1 1  1.201  10

Cell and atoms:
Cell: 5.1933 5.1933 4.4647 Å, 90.00 90.00 120.00°
Space group P312 (No. 149)
Symmetry-distinct sites (fractional):
Pm 0.0000 0.0000 0.0000
Mo 0.3333 0.6667 0.5000
P 0.6667 0.3333 0.0000
O 0.4071 0.0401 0.7712